Structure and simulated X-ray diffraction stick pattern of Er3FeCo8 (a PBE-relaxed structure; Cu Kα (weighted mean of Kα1 and Kα2)).

```
data_Er3FeCo8
_cell_length_a 8.471
_cell_length_b 8.471
_cell_length_c 8.471
_cell_angle_alpha 34.14
_cell_angle_beta 34.14
_cell_angle_gamma 34.14
_space_group_name_H-M_alt 'P 1'
_space_group_IT_number 1
loop_
_space_group_symop_operation_xyz
'x,y,z'
loop_
_atom_site_label
_atom_site_fract_x
_atom_site_fract_y
_atom_site_fract_z
Er1 0.000 0.000 0.000
Er2 0.140 0.140 0.140
Er3 0.860 0.860 0.860
Fe1 0.500 0.500 0.500
Co1 0.079 0.584 0.584
Co2 0.334 0.334 0.334
Co3 0.416 0.416 0.921
Co4 0.416 0.921 0.416
Co5 0.584 0.079 0.584
Co6 0.584 0.584 0.079
Co7 0.666 0.666 0.666
Co8 0.921 0.416 0.416
```

Principal peaks in the range 2θ from 5° to 70°, by angle:
- 2θ 21.0, d 4.238, I = 16
- 2θ 33.5, d 2.676, I = 54
- 2θ 36.1, d 2.486, I = 60
- 2θ 36.6, d 2.455, I = 45
- 2θ 42.1, d 2.144, I = 43
- 2θ 42.9, d 2.109, I = 100
- 2θ 46.2, d 1.963, I = 13
- 2θ 63.3, d 1.469, I = 18
- 2θ 65.3, d 1.429, I = 15
- 2θ 69.6, d 1.350, I = 22

***

Structure and simulated X-ray diffraction stick pattern of ErFeCoGe2 (a PBE-relaxed structure; Cu Kα (weighted mean of Kα1 and Kα2)).

```
data_ErFeCoGe2
_cell_length_a 3.985
_cell_length_b 3.985
_cell_length_c 9.918
_cell_angle_alpha 90.00
_cell_angle_beta 90.00
_cell_angle_gamma 90.00
_space_group_name_H-M_alt 'P 1'
_space_group_IT_number 1
loop_
_space_group_symop_operation_xyz
'x,y,z'
loop_
_atom_site_label
_atom_site_fract_x
_atom_site_fract_y
_atom_site_fract_z
Er1 0.000 0.000 0.000
Er2 0.500 0.500 0.500
Fe1 0.000 0.500 0.750
Fe2 0.500 0.000 0.250
Co1 0.000 0.500 0.250
Co2 0.500 0.000 0.750
Ge1 0.000 0.000 0.370
Ge2 0.000 0.000 0.630
Ge3 0.500 0.500 0.130
Ge4 0.500 0.500 0.870
```

Principal peaks in the range 2θ from 5° to 70°, by angle:
- 2θ 24.1, d 3.697, I = 13
- 2θ 31.8, d 2.818, I = 31
- 2θ 35.3, d 2.544, I = 100
- 2θ 36.2, d 2.480, I = 5
- 2θ 36.7, d 2.450, I = 87
- 2θ 45.5, d 1.992, I = 58
- 2θ 51.5, d 1.776, I = 28
- 2θ 58.9, d 1.569, I = 45
- 2θ 65.5, d 1.426, I = 20
- 2θ 66.4, d 1.409, I = 18

***

Structure and simulated X-ray diffraction stick pattern of Ho2ErFeCo8 (a PBE-relaxed structure; Cu Kα (weighted mean of Kα1 and Kα2)).

```
data_Ho2ErFeCo8
_cell_length_a 8.473
_cell_length_b 8.473
_cell_length_c 8.473
_cell_angle_alpha 34.22
_cell_angle_beta 34.22
_cell_angle_gamma 34.22
_space_group_name_H-M_alt 'P 1'
_space_group_IT_number 1
loop_
_space_group_symop_operation_xyz
'x,y,z'
loop_
_atom_site_label
_atom_site_fract_x
_atom_site_fract_y
_atom_site_fract_z
Ho1 0.139 0.139 0.139
Ho2 0.861 0.861 0.861
Er1 0.000 0.000 0.000
Fe1 0.500 0.500 0.500
Co1 0.079 0.583 0.583
Co2 0.334 0.334 0.334
Co3 0.417 0.417 0.921
Co4 0.417 0.921 0.417
Co5 0.583 0.079 0.583
Co6 0.583 0.583 0.079
Co7 0.666 0.666 0.666
Co8 0.921 0.417 0.417
```

Principal peaks in the range 2θ from 5° to 70°, by angle:
- 2θ 20.9, d 4.248, I = 15
- 2θ 33.5, d 2.678, I = 54
- 2θ 36.0, d 2.492, I = 60
- 2θ 36.6, d 2.457, I = 44
- 2θ 42.0, d 2.150, I = 43
- 2θ 42.8, d 2.113, I = 100
- 2θ 46.1, d 1.967, I = 13
- 2θ 63.1, d 1.472, I = 18
- 2θ 65.1, d 1.432, I = 16
- 2θ 69.4, d 1.353, I = 22

***

Structure and simulated X-ray diffraction stick pattern of HoEr2Fe3Co6 (a PBE-relaxed structure; Cu Kα (weighted mean of Kα1 and Kα2)).

```
data_HoEr2Fe3Co6
_cell_length_a 8.385
_cell_length_b 8.385
_cell_length_c 8.385
_cell_angle_alpha 34.99
_cell_angle_beta 34.99
_cell_angle_gamma 34.99
_space_group_name_H-M_alt 'P 1'
_space_group_IT_number 1
loop_
_space_group_symop_operation_xyz
'x,y,z'
loop_
_atom_site_label
_atom_site_fract_x
_atom_site_fract_y
_atom_site_fract_z
Ho1 0.000 0.000 0.000
Er1 0.141 0.141 0.141
Er2 0.859 0.859 0.859
Fe1 0.334 0.334 0.334
Fe2 0.500 0.500 0.500
Fe3 0.666 0.666 0.666
Co1 0.080 0.584 0.584
Co2 0.416 0.416 0.920
Co3 0.416 0.920 0.416
Co4 0.584 0.080 0.584
Co5 0.584 0.584 0.080
Co6 0.920 0.416 0.416
```

Principal peaks in the range 2θ from 5° to 70°, by angle:
- 2θ 20.7, d 4.293, I = 15
- 2θ 33.6, d 2.668, I = 53
- 2θ 35.6, d 2.520, I = 59
- 2θ 36.8, d 2.444, I = 40
- 2θ 41.5, d 2.173, I = 43
- 2θ 42.6, d 2.122, I = 100
- 2θ 45.8, d 1.981, I = 12
- 2θ 62.7, d 1.482, I = 18
- 2θ 64.7, d 1.440, I = 15
- 2θ 68.8, d 1.365, I = 23

***

Structure and simulated X-ray diffraction stick pattern of HoEr2Fe8Co (a PBE-relaxed structure; Cu Kα (weighted mean of Kα1 and Kα2)).

```
data_HoEr2Fe8Co
_cell_length_a 8.553
_cell_length_b 8.553
_cell_length_c 8.553
_cell_angle_alpha 34.27
_cell_angle_beta 34.27
_cell_angle_gamma 34.27
_space_group_name_H-M_alt 'P 1'
_space_group_IT_number 1
loop_
_space_group_symop_operation_xyz
'x,y,z'
loop_
_atom_site_label
_atom_site_fract_x
_atom_site_fract_y
_atom_site_fract_z
Ho1 0.000 0.000 0.000
Er1 0.142 0.142 0.142
Er2 0.858 0.858 0.858
Fe1 0.081 0.582 0.582
Fe2 0.333 0.333 0.333
Fe3 0.418 0.418 0.919
Fe4 0.418 0.919 0.418
Fe5 0.582 0.081 0.582
Fe6 0.582 0.582 0.081
Fe7 0.667 0.667 0.667
Fe8 0.919 0.418 0.418
Co1 0.500 0.500 0.500
```

Principal peaks in the range 2θ from 5° to 70°, by angle:
- 2θ 20.7, d 4.294, I = 15
- 2θ 33.1, d 2.705, I = 53
- 2θ 35.6, d 2.519, I = 58
- 2θ 36.2, d 2.481, I = 36
- 2θ 41.6, d 2.173, I = 38
- 2θ 42.3, d 2.135, I = 100
- 2θ 62.4, d 1.488, I = 17
- 2θ 64.4, d 1.447, I = 13
- 2θ 68.6, d 1.368, I = 23
- 2θ 69.5, d 1.352, I = 13

***

Structure and simulated X-ray diffraction stick pattern of Ho2ErFeCo6Ni2 (a PBE-relaxed structure; Cu Kα (weighted mean of Kα1 and Kα2)).

```
data_Ho2ErFeCo6Ni2
_cell_length_a 8.540
_cell_length_b 8.540
_cell_length_c 8.540
_cell_angle_alpha 33.69
_cell_angle_beta 33.69
_cell_angle_gamma 33.69
_space_group_name_H-M_alt 'P 1'
_space_group_IT_number 1
loop_
_space_group_symop_operation_xyz
'x,y,z'
loop_
_atom_site_label
_atom_site_fract_x
_atom_site_fract_y
_atom_site_fract_z
Ho1 0.139 0.139 0.139
Ho2 0.861 0.861 0.861
Er1 0.000 0.000 0.000
Fe1 0.500 0.500 0.500
Co1 0.080 0.583 0.583
Co2 0.417 0.417 0.920
Co3 0.417 0.920 0.417
Co4 0.583 0.080 0.583
Co5 0.583 0.583 0.080
Co6 0.920 0.417 0.417
Ni1 0.334 0.334 0.334
Ni2 0.666 0.666 0.666
```

Principal peaks in the range 2θ from 5° to 70°, by angle:
- 2θ 21.1, d 4.220, I = 13
- 2θ 33.3, d 2.687, I = 52
- 2θ 36.3, d 2.475, I = 55
- 2θ 36.4, d 2.468, I = 40
- 2θ 42.3, d 2.135, I = 38
- 2θ 42.9, d 2.108, I = 100
- 2θ 63.4, d 1.466, I = 16
- 2θ 65.4, d 1.428, I = 24
- 2θ 69.7, d 1.349, I = 13
- 2θ 69.9, d 1.346, I = 21

***

Structure and simulated X-ray diffraction stick pattern of HoEr2Fe6Co2Ni (a PBE-relaxed structure; Cu Kα (weighted mean of Kα1 and Kα2)).

```
data_HoEr2Fe6Co2Ni
_cell_length_a 8.661
_cell_length_b 8.661
_cell_length_c 8.661
_cell_angle_alpha 33.40
_cell_angle_beta 33.40
_cell_angle_gamma 33.40
_space_group_name_H-M_alt 'P 1'
_space_group_IT_number 1
loop_
_space_group_symop_operation_xyz
'x,y,z'
loop_
_atom_site_label
_atom_site_fract_x
_atom_site_fract_y
_atom_site_fract_z
Ho1 0.000 0.000 0.000
Er1 0.142 0.142 0.142
Er2 0.858 0.858 0.858
Fe1 0.080 0.582 0.582
Fe2 0.418 0.418 0.920
Fe3 0.418 0.920 0.418
Fe4 0.582 0.080 0.582
Fe5 0.582 0.582 0.080
Fe6 0.920 0.418 0.418
Co1 0.333 0.333 0.333
Co2 0.667 0.667 0.667
Ni1 0.500 0.500 0.500
```

Principal peaks in the range 2θ from 5° to 70°, by angle:
- 2θ 20.9, d 4.246, I = 12
- 2θ 33.0, d 2.718, I = 48
- 2θ 36.0, d 2.497, I = 34
- 2θ 36.1, d 2.489, I = 53
- 2θ 42.1, d 2.147, I = 33
- 2θ 42.5, d 2.125, I = 100
- 2θ 62.9, d 1.477, I = 15
- 2θ 64.8, d 1.438, I = 21
- 2θ 69.1, d 1.359, I = 12
- 2θ 69.3, d 1.356, I = 22

***

Structure and simulated X-ray diffraction stick pattern of Ho2ErFeCo2Ni6 (a PBE-relaxed structure; Cu Kα (weighted mean of Kα1 and Kα2)).

```
data_Ho2ErFeCo2Ni6
_cell_length_a 8.585
_cell_length_b 8.585
_cell_length_c 8.585
_cell_angle_alpha 33.27
_cell_angle_beta 33.27
_cell_angle_gamma 33.27
_space_group_name_H-M_alt 'P 1'
_space_group_IT_number 1
loop_
_space_group_symop_operation_xyz
'x,y,z'
loop_
_atom_site_label
_atom_site_fract_x
_atom_site_fract_y
_atom_site_fract_z
Ho1 0.140 0.140 0.140
Ho2 0.860 0.860 0.860
Er1 0.000 0.000 0.000
Fe1 0.500 0.500 0.500
Co1 0.333 0.333 0.333
Co2 0.667 0.667 0.667
Ni1 0.083 0.581 0.581
Ni2 0.419 0.419 0.917
Ni3 0.419 0.917 0.419
Ni4 0.581 0.083 0.581
Ni5 0.581 0.581 0.083
Ni6 0.917 0.419 0.419
```

Principal peaks in the range 2θ from 5° to 70°, by angle:
- 2θ 33.3, d 2.691, I = 57
- 2θ 36.3, d 2.473, I = 43
- 2θ 36.6, d 2.458, I = 56
- 2θ 42.6, d 2.120, I = 43
- 2θ 43.0, d 2.101, I = 100
- 2θ 46.3, d 1.961, I = 14
- 2θ 46.6, d 1.950, I = 14
- 2θ 63.8, d 1.460, I = 18
- 2θ 65.7, d 1.422, I = 16
- 2θ 69.9, d 1.345, I = 14